This entry pairs a crystal structure of KZrSnF7 with its calculated X-ray diffraction stick pattern. Radiation: copper Kα. Structure: a GGA-PBE-relaxed structure.
Kinematic intensities with the Lorentz-polarization factor, no thermal factor.

Crystal structure
```
data_KZrSnF7
_chemical_formula_sum 'K4 Zr4 Sn4 F28'
_cell_length_a 8.1687
_cell_length_b 5.7701
_cell_length_c 12.1172
_cell_angle_alpha 90.00
_cell_angle_beta 90.00
_cell_angle_gamma 90.00
_space_group_name_H-M_alt 'P m n a'
_space_group_IT_number 53
loop_
_space_group_symop_operation_xyz
'x,y,z'
'-x,-y,-z'
'-x+1/2,-y,z+1/2'
'x+1/2,y,-z+1/2'
'x,-y,-z'
'-x,y,z'
'-x+1/2,y,-z+1/2'
'x+1/2,-y,z+1/2'
loop_
_atom_site_label
_atom_site_type_symbol
_atom_site_fract_x
_atom_site_fract_y
_atom_site_fract_z
_atom_site_occupancy
K1 K 0.2500 0.2201 0.2500 1
Zr1 Zr 0.0000 0.2504 0.5888 1
Sn1 Sn 0.0000 0.2610 0.9129 1
F1 F 0.0000 0.0907 0.7449 1
F2 F 0.0000 0.1314 0.0839 1
F3 F 0.0000 0.1326 0.4251 1
F4 F 0.0000 0.4898 0.2978 1
F5 F 0.1529 0.5000 0.5000 1
F6 F 0.2397 0.1485 0.6118 1
```

Principal peaks in the range 10 to 80 degrees two-theta, by intensity:
hkl  Position (°2θ)  Rel. int.
0 1 3  26.95  100
2 0 0  21.76  62
2 1 1  27.75  51
0 1 1  17.02  39
4 1 3  52.67  31
2 2 2  41.10  29

=====

This entry pairs a crystal structure of K3TcF6 with its calculated X-ray diffraction stick pattern. Radiation: copper Kα. Structure: a GGA-PBE-relaxed structure.
Kinematic intensities with the Lorentz-polarization factor, no thermal factor.

Crystal structure
```
data_K3TcF6
_chemical_formula_sum 'K6 Tc2 F12'
_cell_length_a 5.8826
_cell_length_b 5.8826
_cell_length_c 8.9027
_cell_angle_alpha 90.00
_cell_angle_beta 90.00
_cell_angle_gamma 90.00
_space_group_name_H-M_alt 'I 4/m'
_space_group_IT_number 87
_space_group_name_Hall '-I 4'
loop_
_atom_site_label
_atom_site_type_symbol
_atom_site_fract_x
_atom_site_fract_y
_atom_site_fract_z
_atom_site_occupancy
K1 K 0.0000 0.0000 0.0000 1
K2 K 0.0000 0.5000 0.2500 1
Tc1 Tc 0.0000 0.0000 0.5000 1
F1 F 0.0000 0.0000 0.2698 1
F2 F 0.1360 0.6886 0.5000 1
```

Principal peaks in the range 10 to 80 degrees two-theta, by intensity:
hkl  Position (°2θ)  Rel. int.
1 1 2  29.39  100
2 0 0  30.39  89
1 0 1  18.07  70
3 1 2  53.38  61
2 2 0  43.51  43
0 0 4  40.53  41

=====

This entry pairs a crystal structure of K5ThF9 with its calculated X-ray diffraction stick pattern. Radiation: copper Kα. Structure: a GGA-PBE-relaxed structure.
Kinematic intensities with the Lorentz-polarization factor, no thermal factor.

Crystal structure
```
data_K5ThF9
_chemical_formula_sum 'K20 Th4 F36'
_cell_length_a 7.6990
_cell_length_b 12.4455
_cell_length_c 10.1076
_cell_angle_alpha 90.00
_cell_angle_beta 90.00
_cell_angle_gamma 90.00
_space_group_name_H-M_alt 'C m c 21'
_space_group_IT_number 36
loop_
_space_group_symop_operation_xyz
'x,y,z'
'-x,-y,z+1/2'
'-x,y,z'
'x,-y,z+1/2'
'x+1/2,y+1/2,z'
'-x+1/2,-y+1/2,z+1/2'
'-x+1/2,y+1/2,z'
'x+1/2,-y+1/2,z+1/2'
loop_
_atom_site_label
_atom_site_type_symbol
_atom_site_fract_x
_atom_site_fract_y
_atom_site_fract_z
_atom_site_occupancy
K1 K 0.0000 0.0795 0.0000 1
K2 K 0.2421 0.1429 0.6491 1
K3 K 0.2459 0.4014 0.7994 1
Th1 Th 0.0000 0.3352 0.4488 1
F1 F 0.0000 0.0238 0.7421 1
F2 F 0.0000 0.1441 0.4739 1
F3 F 0.0000 0.2430 0.2374 1
F4 F 0.0000 0.2978 0.6700 1
F5 F 0.0000 0.4559 0.2789 1
F6 F 0.1816 0.4718 0.5225 1
F7 F 0.2184 0.2244 0.9304 1
```

Principal peaks in the range 10 to 80 degrees two-theta, by intensity:
hkl  Position (°2θ)  Rel. int.
1 1 1  16.13  100
2 2 1  28.67  55
0 2 3  30.17  55
0 2 1  16.73  36
2 4 2  41.37  35
1 3 0  24.37  21

=====

This entry pairs a crystal structure of K3UF7 with its calculated X-ray diffraction stick pattern. Radiation: copper Kα. Structure: a GGA-PBE-relaxed structure.
Kinematic intensities with the Lorentz-polarization factor, no thermal factor.

Crystal structure
```
data_K3UF7
_chemical_formula_sum 'K24 U8 F56'
_cell_length_a 8.9381
_cell_length_b 8.9381
_cell_length_c 17.6634
_cell_angle_alpha 90.00
_cell_angle_beta 90.00
_cell_angle_gamma 90.00
_space_group_name_H-M_alt 'I 41/a'
_space_group_IT_number 88
loop_
_space_group_symop_operation_xyz
'x,y,z'
'-x,-y,-z'
'-y+3/4,x+1/4,z+1/4'
'y+3/4,-x+1/4,-z+1/4'
'-x+1/2,-y,z+1/2'
'x+1/2,y,-z+1/2'
'y+3/4,-x+3/4,z+3/4'
'-y+3/4,x+3/4,-z+3/4'
'x+1/2,y+1/2,z+1/2'
'-x+1/2,-y+1/2,-z+1/2'
'-y+1/4,x+3/4,z+3/4'
'y+1/4,-x+3/4,-z+3/4'
'-x,-y+1/2,z'
'x,y+1/2,-z'
'y+1/4,-x+1/4,z+1/4'
'-y+1/4,x+1/4,-z+1/4'
loop_
_atom_site_label
_atom_site_type_symbol
_atom_site_fract_x
_atom_site_fract_y
_atom_site_fract_z
_atom_site_occupancy
K1 K 0.0000 0.2500 0.1250 1
K2 K 0.0000 0.2500 0.6250 1
K3 K 0.2099 0.4908 0.4827 1
U1 U 0.0000 0.2500 0.3520 1
F1 F 0.0000 0.2500 0.4808 1
F2 F 0.0119 0.0997 0.2511 1
F3 F 0.0737 0.0196 0.3916 1
F4 F 0.0757 0.0214 0.9017 1
```

Principal peaks in the range 10 to 80 degrees two-theta, by intensity:
hkl  Position (°2θ)  Rel. int.
1 1 2  17.25  100
2 0 4  28.41  58
2 0 0  19.87  44
2 2 0  28.24  40
3 1 2  33.28  36
4 2 4  50.10  35